This entry pairs a crystal structure of Rb2Sn2Hg3S8 with its simulated X-ray diffraction stick pattern. Radiation: Cu Kα X-rays. Structure: DFT lattice parameters and positions (PBE).

Cell and atoms:
abc: 10.2953 6.7134 13.7025
angles: 90.00 97.51 90.00
Fractional positions:
1 Rb 0.2217 0.1587 0.3095
2 Rb 0.2217 0.3413 0.8095
3 Rb 0.7783 0.6587 0.1905
4 Rb 0.7783 0.8413 0.6905
5 Sn 0.2844 0.6847 0.0764
6 Sn 0.2844 0.8153 0.5764
7 Sn 0.7156 0.1847 0.4236
8 Sn 0.7156 0.3153 0.9236
9 Hg 0.0000 0.0000 0.0000
10 Hg 0.0000 0.5000 0.5000
11 Hg 0.4985 0.7060 0.3799
12 Hg 0.4985 0.7940 0.8799
13 Hg 0.5015 0.2060 0.1201
14 Hg 0.5015 0.2940 0.6201
15 S 0.0806 0.7027 0.6367
16 S 0.0806 0.7973 0.1367
17 S 0.2653 0.6946 0.4079
18 S 0.2653 0.8054 0.9079
19 S 0.2734 0.1765 0.5761
20 S 0.2734 0.3235 0.0761
21 S 0.4698 0.6803 0.6771
22 S 0.4698 0.8197 0.1771
23 S 0.5302 0.1803 0.8229
24 S 0.5302 0.3197 0.3229
25 S 0.7266 0.6765 0.9239
26 S 0.7266 0.8235 0.4239
27 S 0.7347 0.1946 0.0921
28 S 0.7347 0.3054 0.5921
29 S 0.9194 0.2027 0.8633
30 S 0.9194 0.2973 0.3633

The 8 most intense peaks (5 to 70 degrees two-theta), most intense first:
| 2θ/deg | intensity | h k l |
| --- | --- | --- |
| 26.56 | 100 | 1 0 -4 |
| 21.26 | 95 | 1 1 2 |
| 8.66 | 57 | 1 0 0 |
| 22.18 | 55 | 2 1 -1 |
| 26.19 | 55 | 1 1 3 |
| 37.67 | 50 | 0 2 4 |
| 27.98 | 45 | 1 2 0 |
| 30.85 | 44 | 3 1 -2 |